Starting from a DFT-relaxed cell (GGA+U, Alexandria), the X-ray diffraction stick pattern of Tb4W6O19 was simulated for λ = 1.5418 Å (Cu Kα).

Structure:
Unit cell a=7.9032 b=7.9032 c=7.9032 alpha=109.47 beta=109.47 gamma=109.47
Fractional positions:
Tb 0.0000 0.0000 0.7118
Tb 0.0000 0.7118 0.0000
Tb 0.2882 0.2882 0.2882
Tb 0.7118 0.0000 0.0000
W 0.1417 0.6417 0.5000
W 0.3583 0.5000 0.8583
W 0.5000 0.1417 0.6417
W 0.5000 0.8583 0.3583
W 0.6417 0.5000 0.1417
W 0.8583 0.3583 0.5000
O 0.0000 0.0000 0.0000
O 0.0000 0.3171 0.3171
O 0.0000 0.6829 0.6829
O 0.0474 0.2913 0.6725
O 0.2439 0.9526 0.6251
O 0.2913 0.6725 0.0474
O 0.3171 0.0000 0.3171
O 0.3171 0.3171 0.0000
O 0.3275 0.6188 0.3749
O 0.3749 0.3275 0.6188
O 0.3812 0.7087 0.7561
O 0.6188 0.3749 0.3275
O 0.6251 0.2439 0.9526
O 0.6725 0.0474 0.2913
O 0.6829 0.0000 0.6829
O 0.6829 0.6829 0.0000
O 0.7087 0.7561 0.3812
O 0.7561 0.3812 0.7087
O 0.9526 0.6251 0.2439

Main lines, in order of rising 2θ (2θ = 15–90°):
19.45 deg, intensity 30
23.88 deg, intensity 41
30.99 deg, intensity 100
34.03 deg, intensity 15
36.85 deg, intensity 56
48.89 deg, intensity 14
51.03 deg, intensity 67
55.12 deg, intensity 21
60.91 deg, intensity 27
83.39 deg, intensity 14



Starting from a DFT-relaxed cell (GGA+U, Alexandria), the X-ray diffraction stick pattern of MnP2HO8 was simulated for λ = 1.5418 Å (Cu Kα).

Structure:
Unit cell a=8.0230 b=4.5616 c=12.2619 alpha=90.00 beta=121.55 gamma=90.00
Fractional positions:
Mn 0.0000 0.0000 0.0000
Mn 0.0000 0.5000 0.5000
P 0.4076 0.0250 0.2770
P 0.4076 0.4750 0.7770
P 0.5924 0.5250 0.2230
P 0.5924 0.9750 0.7230
H 0.5000 0.0000 0.5000
H 0.5000 0.5000 0.0000
O 0.1022 0.2056 0.4723
O 0.1022 0.2944 0.9723
O 0.1898 0.0345 0.1869
O 0.1898 0.4655 0.6869
O 0.4816 0.6965 0.2812
O 0.4816 0.8035 0.7812
O 0.4841 0.1320 0.4107
O 0.4841 0.3680 0.9107
O 0.5159 0.6320 0.0893
O 0.5159 0.8680 0.5893
O 0.5184 0.1965 0.2188
O 0.5184 0.3035 0.7188
O 0.8102 0.5345 0.3131
O 0.8102 0.9655 0.8131
O 0.8978 0.7056 0.0277
O 0.8978 0.7944 0.5277

Main lines, in order of rising 2θ (2θ = 15–90°):
15.02 deg, intensity 100
22.48 deg, intensity 95
26.07 deg, intensity 24
26.34 deg, intensity 24
32.04 deg, intensity 22
34.33 deg, intensity 11
36.28 deg, intensity 8
40.94 deg, intensity 9
54.73 deg, intensity 6
62.62 deg, intensity 6